1.
This entry pairs a crystal structure of Na3Co4O8 with its calculated X-ray powder pattern. Radiation: Cu Kα, 1.54184 Å. Structure: the GGA+U geometry in Alexandria.

Most intense lines, 2θ from 15° to 90°, in order of rising 2θ:
Position (°2θ)  I/Imax
16.43  100.0
33.21  17.0
39.77  48.3
39.97  25.3
44.15  16.0
49.75  24.0
63.78  18.2
64.92  14.1

Structural model:
```
Na3Co4O8
1.0
-1.445 10.790 2.483
1.445 -10.790 2.483
1.445 10.790 -2.483
Na Co O
3 4 8
direct
0.000 0.000 0.000
0.401 0.651 0.750
0.901 0.651 0.250
0.194 0.320 0.874
0.446 0.320 0.126
0.693 0.320 0.373
0.946 0.320 0.627
0.067 0.649 0.418
0.159 0.986 0.174
0.231 0.649 0.582
0.312 0.985 0.326
0.575 0.659 0.916
0.659 0.985 0.674
0.743 0.659 0.084
0.812 0.986 0.826
```

=====

2.
This entry pairs a crystal structure of Na10Co4O9 with its calculated X-ray powder pattern. Radiation: Cu Kα, 1.54184 Å. Structure: the GGA+U geometry in Alexandria.

Most intense lines, 2θ from 15° to 90°, in order of rising 2θ:
Position (°2θ)  I/Imax
16.64  64.9
25.13  60.8
33.61  65.8
34.98  89.7
36.13  83.7
36.24  70.7
37.20  100.0
37.94  59.7

Structural model:
```
Na10Co4O9
1.0
8.432 0.000 0.000
4.096 7.477 0.000
3.889 -1.331 10.667
Na Co O
20 8 18
direct
0.003 0.115 0.391
0.023 0.575 0.122
0.127 0.163 0.637
0.153 0.420 0.373
0.236 0.026 0.885
0.327 0.658 0.371
0.344 0.114 0.115
0.361 0.323 0.881
0.395 0.777 0.622
0.494 0.370 0.144
0.506 0.630 0.856
0.605 0.223 0.378
0.639 0.677 0.119
0.656 0.886 0.885
0.673 0.342 0.629
0.764 0.974 0.115
0.847 0.580 0.627
0.873 0.837 0.363
0.977 0.425 0.878
0.997 0.885 0.609
0.076 0.752 0.850
0.209 0.814 0.142
0.258 0.464 0.651
0.436 0.968 0.357
0.564 0.032 0.643
0.742 0.536 0.349
0.791 0.186 0.858
0.924 0.248 0.150
0.054 0.967 0.786
0.102 0.292 0.034
0.146 0.573 0.539
0.191 0.628 0.226
0.249 0.934 0.473
0.298 0.243 0.716
0.341 0.563 0.752
0.407 0.833 0.028
0.439 0.158 0.276
0.561 0.842 0.724
0.593 0.167 0.972
0.659 0.437 0.248
0.702 0.757 0.284
0.751 0.066 0.527
0.809 0.372 0.774
0.854 0.427 0.461
0.898 0.708 0.966
0.946 0.033 0.214
```

=====

3.
This entry pairs a crystal structure of Na6CoO4 with its calculated X-ray powder pattern. Radiation: Cu Kα, 1.54184 Å. Structure: the GGA+U geometry in Alexandria.

Most intense lines, 2θ from 15° to 90°, in order of rising 2θ:
Position (°2θ)  I/Imax
20.19  44.2
28.70  45.2
31.05  41.7
33.26  49.0
39.22  53.4
42.79  37.2
47.75  100.0
68.57  25.2

Structural model:
```
Na6CoO4
1.0
-5.388 5.388 5.388
5.388 -5.388 5.388
5.388 5.388 -5.388
Na Co O
24 4 16
direct
0.000 0.218 0.430
0.000 0.430 0.218
0.000 0.462 0.735
0.000 0.735 0.462
0.212 0.782 0.782
0.218 0.000 0.430
0.218 0.430 0.000
0.265 0.265 0.727
0.265 0.727 0.265
0.273 0.538 0.538
0.430 0.000 0.218
0.430 0.218 0.000
0.462 0.000 0.735
0.462 0.735 0.000
0.538 0.273 0.538
0.538 0.538 0.273
0.570 0.570 0.788
0.570 0.788 0.570
0.727 0.265 0.265
0.735 0.000 0.462
0.735 0.462 0.000
0.782 0.212 0.782
0.782 0.782 0.212
0.788 0.570 0.570
0.000 0.000 0.749
0.000 0.749 0.000
0.251 0.251 0.251
0.749 0.000 0.000
0.000 0.000 0.000
0.000 0.210 0.724
0.000 0.500 0.500
0.000 0.724 0.210
0.210 0.000 0.724
0.210 0.724 0.000
0.276 0.276 0.486
0.276 0.486 0.276
0.486 0.276 0.276
0.500 0.000 0.500
0.500 0.500 0.000
0.514 0.790 0.790
0.724 0.000 0.210
0.724 0.210 0.000
0.790 0.514 0.790
0.790 0.790 0.514
```